[1]
# BaDyIn2
Computed X-ray powder pattern, a wavelength of 1.5418 Å. Input: DFT lattice parameters and positions (GGA-PBE).
Neutral-atom scattering factors, no anomalous dispersion.

Peak list (10 most intense, 5 to 70 degrees two-theta, sorted by position)
29.0°, 3.075 Å, intensity 100; 29.6°, 3.018 Å, intensity 83; 34.3°, 2.611 Å, intensity 40; 35.5°, 2.530 Å, intensity 13; 35.9°, 2.498 Å, intensity 15; 37.6°, 2.392 Å, intensity 15; 39.7°, 2.270 Å, intensity 23; 51.8°, 1.764 Å, intensity 25; 58.3°, 1.583 Å, intensity 14; 66.8°, 1.401 Å, intensity 16

Crystal structure
```
BaDyIn2
1.0
5.2219 0.0000 0.0000
0.0000 13.1260 0.0000
0.0000 0.0000 7.7069
Ba Dy In
4 4 8
Cartesian
0.0000 0.9439 1.9267
0.0000 12.1822 5.7802
2.6109 5.6192 5.7802
2.6109 7.5069 1.9267
0.0000 2.8843 5.7802
0.0000 10.2417 1.9267
2.6109 3.6787 1.9267
2.6109 9.4473 5.7802
0.0000 5.0148 0.4851
0.0000 5.0148 3.3684
0.0000 8.1112 4.3385
0.0000 8.1112 7.2218
2.6109 1.5482 4.3385
2.6109 1.5482 7.2218
2.6109 11.5778 0.4851
2.6109 11.5778 3.3684
```

[2]
# BaLiDyS3
Computed X-ray powder pattern, a wavelength of 1.5418 Å. Input: DFT lattice parameters and positions (GGA-PBE).
Neutral-atom scattering factors, no anomalous dispersion.

Peak list (10 most intense, 5 to 70 degrees two-theta, sorted by position)
21.7°, 4.099 Å, intensity 100; 22.7°, 3.921 Å, intensity 24; 26.3°, 3.385 Å, intensity 23; 29.4°, 3.033 Å, intensity 37; 30.7°, 2.910 Å, intensity 41; 34.3°, 2.614 Å, intensity 30; 34.7°, 2.583 Å, intensity 23; 34.8°, 2.575 Å, intensity 25; 43.8°, 2.068 Å, intensity 48; 44.2°, 2.049 Å, intensity 37

Crystal structure
```
BaLiDyS3
1.0
10.2982 0.0000 0.0000
0.0000 4.0965 0.0000
0.0000 0.0000 13.5411
Ba Li Dy S
4 4 4 12
Cartesian
2.5428 1.0241 0.0661
2.6063 3.0723 6.8367
7.6919 1.0241 6.7044
7.7554 3.0723 13.4749
2.5369 3.0723 10.5485
2.6122 1.0241 3.7779
7.6860 3.0723 9.7631
7.7613 1.0241 2.9926
0.0368 3.0723 3.3981
5.1123 1.0241 10.1686
5.1859 3.0723 3.3725
10.2614 1.0241 10.1430
0.5845 3.0723 11.9128
0.6653 1.0241 5.1557
2.5420 1.0241 9.2626
2.6071 3.0723 2.4921
4.4839 3.0723 11.9263
4.5646 1.0241 5.1423
5.7336 3.0723 8.3988
5.8144 1.0241 1.6148
7.6911 1.0241 11.0490
7.7562 3.0723 4.2784
9.6330 3.0723 8.3854
9.7137 1.0241 1.6282
```

[3]
# BaDyMgSb2
Computed X-ray powder pattern, a wavelength of 1.5418 Å. Input: DFT lattice parameters and positions (GGA-PBE).
Neutral-atom scattering factors, no anomalous dispersion.

Peak list (10 most intense, 5 to 70 degrees two-theta, sorted by position)
9.4°, 9.378 Å, intensity 28; 18.9°, 4.686 Å, intensity 26; 26.4°, 3.374 Å, intensity 39; 26.7°, 3.340 Å, intensity 24; 30.1°, 2.964 Å, intensity 53; 31.2°, 2.864 Å, intensity 23; 31.5°, 2.842 Å, intensity 35; 34.3°, 2.612 Å, intensity 100; 37.2°, 2.419 Å, intensity 34; 46.3°, 1.960 Å, intensity 27

Crystal structure
```
BaDyMgSb2
1.0
2.4192 -9.3775 0.0000
2.4192 9.3775 0.0000
0.0000 0.0000 7.1499
Ba Dy Mg Sb
2 2 2 4
Cartesian
2.4192 5.6779 3.5750
2.4192 -5.6779 0.0000
2.4192 9.1117 1.5236
2.4192 -9.1117 5.0985
2.4192 1.7919 2.7869
2.4192 -1.7919 6.3618
2.4192 6.3689 7.1161
2.4192 1.0911 7.0760
2.4192 -1.0911 3.5011
2.4192 -6.3689 3.5412
```

[4]
# BaNaDyTe3
Computed X-ray powder pattern, a wavelength of 1.5418 Å. Input: DFT lattice parameters and positions (GGA-PBE).
Neutral-atom scattering factors, no anomalous dispersion.

Peak list (10 most intense, 5 to 70 degrees two-theta, sorted by position)
19.3°, 4.605 Å, intensity 30; 25.9°, 3.436 Å, intensity 100; 27.1°, 3.291 Å, intensity 84; 30.3°, 2.952 Å, intensity 91; 30.6°, 2.917 Å, intensity 28; 30.9°, 2.893 Å, intensity 49; 38.6°, 2.332 Å, intensity 86; 38.8°, 2.322 Å, intensity 44; 47.4°, 1.919 Å, intensity 30; 55.9°, 1.646 Å, intensity 30

Crystal structure
```
BaNaDyTe3
1.0
2.3320 -7.6069 0.0000
2.3320 7.6069 0.0000
0.0000 0.0000 11.5727
Ba Na Dy Te
2 2 2 6
Cartesian
2.3320 3.8333 8.6795
2.3320 -3.8333 2.8932
2.3320 0.4225 2.8932
2.3320 -0.4225 8.6795
0.0000 0.0000 0.0000
0.0000 0.0000 5.7864
2.3320 6.3471 2.8932
2.3320 2.0957 0.5094
2.3320 2.0957 5.2770
2.3320 -2.0957 6.2957
2.3320 -2.0957 11.0633
2.3320 -6.3471 8.6795
```

[5]
# BaDyO3
Computed X-ray powder pattern, a wavelength of 1.5418 Å. Input: DFT lattice parameters and positions (GGA-PBE).
Neutral-atom scattering factors, no anomalous dispersion.

Peak list (10 most intense, 5 to 70 degrees two-theta, sorted by position)
19.9°, 4.465 Å, intensity 18; 27.4°, 3.258 Å, intensity 98; 29.1°, 3.065 Å, intensity 100; 40.4°, 2.232 Å, intensity 40; 44.2°, 2.047 Å, intensity 28; 50.6°, 1.805 Å, intensity 40; 51.7°, 1.770 Å, intensity 27; 58.6°, 1.575 Å, intensity 21; 60.4°, 1.533 Å, intensity 14; 67.5°, 1.387 Å, intensity 15

Crystal structure
```
BaDyO3
1.0
3.0652 1.7697 5.5017
-3.0652 1.7697 5.5017
0.0000 -3.5394 5.5017
Ba Dy O
2 2 6
Cartesian
0.0000 0.0000 2.1304
0.0000 0.0000 14.3746
0.0000 0.0000 5.7330
0.0000 0.0000 10.7721
-1.3366 -1.4892 6.7356
-1.9580 0.4129 9.7694
-0.6214 1.9021 6.7356
0.6214 -1.9021 9.7694
1.9580 -0.4129 6.7356
1.3366 1.4892 9.7694
```

[6]
# BaDyPO
Computed X-ray powder pattern, a wavelength of 1.5418 Å. Input: DFT lattice parameters and positions (GGA-PBE).
Neutral-atom scattering factors, no anomalous dispersion.

Peak list (10 most intense, 5 to 70 degrees two-theta, sorted by position)
11.7°, 7.577 Å, intensity 29; 22.6°, 3.938 Å, intensity 59; 26.4°, 3.380 Å, intensity 93; 27.1°, 3.290 Å, intensity 100; 30.5°, 2.927 Å, intensity 19; 33.5°, 2.678 Å, intensity 30; 35.5°, 2.527 Å, intensity 25; 39.1°, 2.304 Å, intensity 26; 40.7°, 2.215 Å, intensity 22; 48.2°, 1.887 Å, intensity 42

Crystal structure
```
BaDyPO
1.0
4.6088 0.0000 0.0000
0.0000 7.5771 0.0000
0.0000 0.0000 6.5904
Ba Dy P O
2 2 2 2
Cartesian
0.0000 1.5175 0.0000
0.0000 6.0596 3.2952
2.3044 2.8839 3.8244
2.3044 4.6932 0.5292
0.0000 1.6605 3.1908
0.0000 5.9166 6.4860
2.3044 2.8318 6.0108
2.3044 4.7453 2.7156
```

[7]
# Ba2DyTeO6
Computed X-ray powder pattern, a wavelength of 1.5418 Å. Input: DFT lattice parameters and positions (GGA-PBE).
Neutral-atom scattering factors, no anomalous dispersion.

Peak list (10 most intense, 5 to 70 degrees two-theta, sorted by position)
26.6°, 3.345 Å, intensity 45; 29.0°, 3.078 Å, intensity 30; 29.5°, 3.024 Å, intensity 100; 40.0°, 2.254 Å, intensity 15; 40.2°, 2.243 Å, intensity 25; 41.9°, 2.157 Å, intensity 13; 50.7°, 1.802 Å, intensity 14; 52.4°, 1.746 Å, intensity 21; 54.5°, 1.685 Å, intensity 17; 61.3°, 1.512 Å, intensity 19

Crystal structure
```
Ba2DyTeO6
1.0
3.0244 1.7461 10.1435
-3.0244 1.7461 10.1435
0.0000 -3.4923 10.1435
Ba Dy Te O
4 2 2 12
Cartesian
0.0000 0.0000 4.1117
0.0000 0.0000 8.4361
0.0000 0.0000 21.9944
0.0000 0.0000 26.3188
0.0000 0.0000 12.2962
0.0000 0.0000 18.1344
0.0000 0.0000 0.0000
0.0000 0.0000 15.2153
-1.4748 -0.8515 13.8463
0.0000 -1.9077 11.2558
-1.6521 0.9538 11.2558
-1.6521 -0.9538 19.1748
0.0000 -1.7030 16.5843
-1.4748 0.8515 16.5843
1.4748 -0.8515 13.8463
0.0000 1.7030 13.8463
1.6521 0.9538 11.2557
1.6521 -0.9538 19.1748
0.0000 1.9077 19.1748
1.4748 0.8515 16.5843
```